(1)
Theoretical X-ray powder pattern of GaPt3 for Cu Kα X-rays, from a crystal structure in the Materials Project, relaxed with PBE.
Neutral-atom scattering factors, no anomalous dispersion.

Cell and atoms:
```
data_GaPt3
_chemical_formula_sum 'Ga4 Pt12'
_cell_length_a 5.5463
_cell_length_b 5.5463
_cell_length_c 8.0049
_cell_angle_alpha 90.00
_cell_angle_beta 90.00
_cell_angle_gamma 90.00
_space_group_name_H-M_alt 'I 4/m c m'
_space_group_IT_number 140
_space_group_name_Hall '-I 4 2c'
loop_
_atom_site_label
_atom_site_fract_x
_atom_site_fract_y
_atom_site_fract_z
Ga1 0.0000 0.5000 0.2500
Pt1 0.0000 0.0000 0.2500
Pt2 0.2066 0.2934 0.0000
```

Main lines, low angle first (2θ = 10–90°):
31.95 deg, I = 10.6, hkl 1 1 2
37.98 deg, I = 23.3, hkl 2 1 1
39.53 deg, I = 100.0, hkl 2 0 2
45.32 deg, I = 20.4, hkl 0 0 4
46.30 deg, I = 27.1, hkl 2 2 0
50.22 deg, I = 10.6, hkl 2 1 3
66.79 deg, I = 18.3, hkl 2 2 4
71.06 deg, I = 11.1, hkl 4 1 1
79.80 deg, I = 21.4, hkl 2 0 6
81.20 deg, I = 12.4, hkl 4 2 2

(2)
Theoretical X-ray powder pattern of NbCrP for Cu Kα X-rays, from a crystal structure in the Materials Project, relaxed with PBE.
Neutral-atom scattering factors, no anomalous dispersion.

Cell and atoms:
```
data_NbCrP
_chemical_formula_sum 'Nb4 Cr4 P4'
_cell_length_a 6.2872
_cell_length_b 3.5432
_cell_length_c 7.4068
_cell_angle_alpha 90.00
_cell_angle_beta 90.00
_cell_angle_gamma 90.00
_space_group_name_H-M_alt 'P n m a'
_space_group_IT_number 62
_space_group_name_Hall '-P 2ac 2n'
loop_
_atom_site_label
_atom_site_fract_x
_atom_site_fract_y
_atom_site_fract_z
Nb1 0.0312 0.2500 0.1724
Cr1 0.1426 0.2500 0.5596
P1 0.2300 0.7500 0.3685
```

Main lines, low angle first (2θ = 10–90°):
27.92 deg, I = 20.1, hkl 0 1 1
37.95 deg, I = 100.0, hkl 1 1 2
38.28 deg, I = 29.7, hkl 2 1 0
39.20 deg, I = 46.0, hkl 1 0 3
40.24 deg, I = 83.8, hkl 2 1 1
44.95 deg, I = 22.2, hkl 3 0 1
47.14 deg, I = 17.3, hkl 1 1 3
51.59 deg, I = 29.1, hkl 0 2 0
66.66 deg, I = 18.1, hkl 1 2 3
73.26 deg, I = 17.1, hkl 3 1 4

(3)
Theoretical X-ray powder pattern of CaGa2 for Cu Kα X-rays, from a crystal structure in the Materials Project, relaxed with PBE.
Neutral-atom scattering factors, no anomalous dispersion.

Cell and atoms:
```
data_CaGa2
_chemical_formula_sum 'Ca1 Ga2'
_cell_length_a 4.2984
_cell_length_b 4.2984
_cell_length_c 4.3879
_cell_angle_alpha 90.00
_cell_angle_beta 90.00
_cell_angle_gamma 120.00
_space_group_name_H-M_alt 'P 6/m m m'
_space_group_IT_number 191
_space_group_name_Hall '-P 6 2'
loop_
_atom_site_label
_atom_site_fract_x
_atom_site_fract_y
_atom_site_fract_z
Ca1 0.0000 0.0000 0.0000
Ga1 0.3333 0.6667 0.5000
```

Main lines, low angle first (2θ = 10–90°):
20.24 deg, I = 39.6, hkl 0 0 1
31.52 deg, I = 100.0, hkl 1 0 1
41.14 deg, I = 21.0, hkl 0 0 2
42.04 deg, I = 59.2, hkl 1 1 0
47.08 deg, I = 26.9, hkl 1 1 1
53.48 deg, I = 20.9, hkl 2 0 1
60.28 deg, I = 38.7, hkl 1 1 2
68.99 deg, I = 9.3, hkl 1 0 3
70.26 deg, I = 17.5, hkl 2 1 1
76.82 deg, I = 9.2, hkl 3 0 0

(4)
Theoretical X-ray powder pattern of LiEuTiO4 for Cu Kα X-rays, from a crystal structure in the Materials Project, relaxed with PBE.
Neutral-atom scattering factors, no anomalous dispersion.

Cell and atoms:
```
data_LiEuTiO4
_chemical_formula_sum 'Li4 Eu4 Ti4 O16'
_cell_length_a 11.9904
_cell_length_b 5.3577
_cell_length_c 5.3060
_cell_angle_alpha 90.00
_cell_angle_beta 90.00
_cell_angle_gamma 90.00
_space_group_name_H-M_alt 'P b c m'
_space_group_IT_number 57
_space_group_name_Hall '-P 2c 2b'
loop_
_atom_site_label
_atom_site_fract_x
_atom_site_fract_y
_atom_site_fract_z
Li1 0.0094 0.2500 0.0000
Eu1 0.3846 0.0188 0.2500
Ti1 0.2103 0.5058 0.2500
O1 0.0608 0.5111 0.2500
O2 0.2416 0.2500 0.0000
O3 0.2579 0.7500 0.0000
O4 0.4272 0.0456 0.7500
```

Main lines, low angle first (2θ = 10–90°):
27.96 deg, I = 100.0, hkl 2 1 1
32.65 deg, I = 37.1, hkl 3 1 1
33.45 deg, I = 18.7, hkl 0 2 0
33.79 deg, I = 19.6, hkl 0 0 2
37.50 deg, I = 14.0, hkl 5 0 0
45.40 deg, I = 13.6, hkl 4 2 0
48.28 deg, I = 24.6, hkl 0 2 2
56.49 deg, I = 13.6, hkl 2 3 1
56.94 deg, I = 13.4, hkl 2 1 3
59.27 deg, I = 16.6, hkl 7 1 1

(5)
Theoretical X-ray powder pattern of CaCeMg14 for Cu Kα X-rays, from a crystal structure in the Materials Project, relaxed with PBE.
Neutral-atom scattering factors, no anomalous dispersion.

Cell and atoms:
```
data_CaCeMg14
_chemical_formula_sum 'Ca2 Ce2 Mg28'
_cell_length_a 10.5036
_cell_length_b 6.6834
_cell_length_c 11.2039
_cell_angle_alpha 90.00
_cell_angle_beta 90.00
_cell_angle_gamma 90.00
_space_group_name_H-M_alt 'A m m 2'
_space_group_IT_number 38
_space_group_name_Hall 'A 2 -2'
loop_
_atom_site_label
_atom_site_fract_x
_atom_site_fract_y
_atom_site_fract_z
Ca1 0.0000 0.0000 0.0000
Ce1 0.0000 0.0000 0.4991
Mg1 0.0000 0.2474 0.7538
Mg2 0.2501 0.0000 0.6689
Mg3 0.2505 0.0000 0.1705
Mg4 0.2538 0.2476 0.4184
Mg5 0.5000 0.0000 0.0019
Mg6 0.5000 0.0000 0.5024
Mg7 0.5000 0.2494 0.7521
```

Main lines, low angle first (2θ = 10–90°):
17.61 deg, I = 23.0, hkl 1 1 1
17.95 deg, I = 20.4, hkl 1 0 2
31.16 deg, I = 26.7, hkl 0 2 2
34.15 deg, I = 36.5, hkl 4 0 0
35.65 deg, I = 100.0, hkl 2 2 2
36.35 deg, I = 45.8, hkl 2 0 4
46.90 deg, I = 16.6, hkl 4 2 2
56.45 deg, I = 16.3, hkl 0 2 6
62.11 deg, I = 20.4, hkl 6 2 2
67.67 deg, I = 32.1, hkl 4 2 6

(6)
Theoretical X-ray powder pattern of Ca2CuRhO6 for Cu Kα X-rays, from a crystal structure in the Materials Project, relaxed with PBE.
Neutral-atom scattering factors, no anomalous dispersion.

Cell and atoms:
```
data_Ca2CuRhO6
_chemical_formula_sum 'Ca8 Cu4 Rh4 O24'
_cell_length_a 9.0906
_cell_length_b 9.2798
_cell_length_c 6.3621
_cell_angle_alpha 90.00
_cell_angle_beta 91.94
_cell_angle_gamma 90.00
_space_group_name_H-M_alt 'C 1 2 1'
_space_group_IT_number 5
_space_group_name_Hall 'C 2y'
loop_
_atom_site_label
_atom_site_fract_x
_atom_site_fract_y
_atom_site_fract_z
Ca1 0.0000 0.0000 0.0000
Ca2 0.0000 0.2000 0.5000
Ca3 0.1861 0.6738 0.1218
Cu1 0.0000 0.4149 0.0000
Cu2 0.0000 0.7681 0.5000
Rh1 0.2500 0.3522 0.2602
O1 0.0422 0.7675 0.7914
O2 0.0503 0.4368 0.2848
O3 0.1440 0.0361 0.7008
O4 0.1464 0.1763 0.1790
O5 0.1991 0.7830 0.4566
O6 0.2032 0.4202 0.9649
```

Main lines, low angle first (2θ = 10–90°):
19.13 deg, I = 41.0, hkl 0 2 0
19.30 deg, I = 100.0, hkl 1 1 -1
19.78 deg, I = 23.1, hkl 1 1 1
23.74 deg, I = 19.1, hkl 0 2 1
30.55 deg, I = 21.3, hkl 1 3 0
31.24 deg, I = 20.8, hkl 2 2 1
33.55 deg, I = 31.7, hkl 1 3 -1
33.86 deg, I = 24.0, hkl 2 0 -2
43.83 deg, I = 19.0, hkl 2 4 0
45.33 deg, I = 20.4, hkl 1 1 3

(7)
Theoretical X-ray powder pattern of Mg2MnCr3S8 for Cu Kα X-rays, from a crystal structure in the Materials Project, relaxed with PBE.
Neutral-atom scattering factors, no anomalous dispersion.

Cell and atoms:
```
data_Mg2MnCr3S8
_chemical_formula_sum 'Mg6 Mn3 Cr9 S24'
_cell_length_a 7.2520
_cell_length_b 7.2520
_cell_length_c 17.7028
_cell_angle_alpha 90.00
_cell_angle_beta 90.00
_cell_angle_gamma 120.00
_space_group_name_H-M_alt 'R -3 m'
_space_group_IT_number 166
_space_group_name_Hall '-R 3 2"'
loop_
_atom_site_label
_atom_site_fract_x
_atom_site_fract_y
_atom_site_fract_z
Mg1 0.0000 0.0000 0.1243
Mn1 0.0000 0.0000 0.5000
Cr1 0.0000 0.5000 0.0000
S1 0.0000 0.0000 0.2635
S2 0.0324 0.5162 0.2561
```

Main lines, low angle first (2θ = 10–90°):
14.98 deg, I = 76.1, hkl 0 0 3
24.58 deg, I = 10.4, hkl 1 1 0
28.91 deg, I = 71.1, hkl 1 1 3
35.04 deg, I = 100.0, hkl 0 2 4
46.04 deg, I = 48.1, hkl 0 2 7
50.33 deg, I = 48.1, hkl 2 2 0
50.45 deg, I = 46.4, hkl 2 0 8
62.80 deg, I = 13.6, hkl 4 0 4
74.03 deg, I = 12.4, hkl 0 4 8
84.52 deg, I = 10.4, hkl 2 4 4